[1]
Simulated X-ray powder pattern
Compound: CsThCl6
Radiation: Cu Kα (weighted mean of Kα1 and Kα2)
Structure: a cell relaxed with GGA-PBE
Intensities are scaled so that the largest is 100.

The 10 most intense peaks (2θ from 15° to 90°), low angle first:
2θ/deg, I_rel
16.22, 100
22.08, 81
23.02, 19
32.11, 82
32.80, 31
36.78, 32
39.88, 27
41.73, 22
46.55, 32
52.54, 24

a b c (Å): 7.7285 7.7285 9.4303
angles (deg): 90.00 90.00 90.00
Fractional coordinates of all 16 atoms:
Cs1 0.0000 0.0000 0.0000
Cs2 0.0000 0.0000 0.5000
Th1 0.5000 0.5000 0.2500
Th2 0.5000 0.5000 0.7500
Cl1 0.2014 0.3332 0.1778
Cl2 0.2014 0.3332 0.8222
Cl3 0.3090 0.3916 0.5000
Cl4 0.3332 0.7986 0.3222
Cl5 0.3332 0.7986 0.6778
Cl6 0.3916 0.6910 0.0000
Cl7 0.6084 0.3090 0.0000
Cl8 0.6668 0.2014 0.3222
Cl9 0.6668 0.2014 0.6778
Cl10 0.6910 0.6084 0.5000
Cl11 0.7986 0.6668 0.1778
Cl12 0.7986 0.6668 0.8222

---

[2]
Simulated X-ray powder pattern
Compound: Cs3TiCl6
Radiation: Cu Kα (weighted mean of Kα1 and Kα2)
Structure: a cell relaxed with GGA-PBE
Intensities are scaled so that the largest is 100.

The 10 most intense peaks (2θ from 15° to 90°), low angle first:
2θ/deg, I_rel
21.43, 87
24.18, 52
27.99, 18
32.53, 100
32.82, 20
40.94, 24
43.67, 19
49.53, 20
58.41, 17
60.69, 14

a b c (Å): 9.1643 9.1643 9.1643
angles (deg): 88.17 88.17 88.17
Fractional coordinates of all 20 atoms:
Cs1 0.0988 0.7500 0.4012
Cs2 0.2500 0.5988 0.9012
Cs3 0.4012 0.0988 0.7500
Cs4 0.5988 0.9012 0.2500
Cs5 0.7500 0.4012 0.0988
Cs6 0.9012 0.2500 0.5988
Ti1 0.0000 0.0000 0.0000
Ti2 0.5000 0.5000 0.5000
Cl1 0.0637 0.9254 0.7499
Cl2 0.0746 0.2501 0.9363
Cl3 0.2499 0.4254 0.5637
Cl4 0.2501 0.9363 0.0746
Cl5 0.4254 0.5637 0.2499
Cl6 0.4363 0.7501 0.5746
Cl7 0.5637 0.2499 0.4254
Cl8 0.5746 0.4363 0.7501
Cl9 0.7499 0.0637 0.9254
Cl10 0.7501 0.5746 0.4363
Cl11 0.9254 0.7499 0.0637
Cl12 0.9363 0.0746 0.2501

---

[3]
Simulated X-ray powder pattern
Compound: CsTiCl5
Radiation: Cu Kα (weighted mean of Kα1 and Kα2)
Structure: a cell relaxed with GGA-PBE
Intensities are scaled so that the largest is 100.

The 10 most intense peaks (2θ from 15° to 90°), low angle first:
2θ/deg, I_rel
16.29, 100
17.52, 95
21.70, 43
24.01, 48
27.07, 48
27.71, 25
30.96, 25
32.31, 42
35.71, 27
35.89, 46

a b c (Å): 8.1927 10.8811 6.4388
angles (deg): 90.00 90.00 90.00
Fractional coordinates of all 14 atoms:
Cs1 0.0000 0.0000 0.0000
Cs2 0.5000 0.5000 0.5000
Ti1 0.0000 0.5000 0.9934
Ti2 0.5000 0.0000 0.4934
Cl1 0.0000 0.3167 0.1598
Cl2 0.0000 0.5000 0.6466
Cl3 0.0000 0.6833 0.1598
Cl4 0.2148 0.0000 0.5018
Cl5 0.2852 0.5000 0.0018
Cl6 0.5000 0.0000 0.1466
Cl7 0.5000 0.1833 0.6598
Cl8 0.5000 0.8167 0.6598
Cl9 0.7148 0.5000 0.0018
Cl10 0.7852 0.0000 0.5018